Entry 1:
The following is a simulated XRD peak list of TaGa3. It was derived from a crystal structure in the Materials Project, relaxed with GGA-PBE, using copper Kα.

Most intense lines, 15° ≤ 2θ ≤ 90°, by angle:
- 2θ = 20.3°, intensity 9
- 2θ = 25.4°, intensity 21
- 2θ = 39.1°, intensity 100
- 2θ = 41.2°, intensity 22
- 2θ = 47.5°, intensity 29
- 2θ = 64.6°, intensity 22
- 2θ = 69.4°, intensity 9
- 2θ = 73.7°, intensity 15
- 2θ = 82.6°, intensity 22
- 2θ = 84.0°, intensity 11

Structural model:
Cell: 5.154 5.154 5.154 Å, 136.36 136.36 63.43°
Fractional coordinates of all 4 atoms:
Ta 0.000 0.000 0.000
Ga 0.250 0.750 0.500
Ga 0.500 0.500 0.000
Ga 0.750 0.250 0.500

***

Entry 2:
The following is a simulated XRD peak list of Mg2B2O5. It was derived from a crystal structure in the Materials Project, relaxed with GGA-PBE, using copper Kα.

Most intense lines, 15° ≤ 2θ ≤ 90°, by angle:
- 2θ = 19.7°, intensity 32
- 2θ = 29.7°, intensity 21
- 2θ = 31.3°, intensity 40
- 2θ = 34.4°, intensity 100
- 2θ = 35.0°, intensity 45
- 2θ = 41.9°, intensity 17
- 2θ = 44.6°, intensity 44
- 2θ = 46.2°, intensity 27
- 2θ = 47.7°, intensity 23
- 2θ = 58.5°, intensity 20

Structural model:
Cell: 3.160 6.218 9.313 Å, 104.58 90.60 91.89°
Fractional coordinates of all 18 atoms:
Mg 0.233 0.210 0.356
Mg 0.266 0.628 0.897
Mg 0.734 0.372 0.103
Mg 0.767 0.790 0.644
B 0.163 0.121 0.831
B 0.199 0.681 0.356
B 0.801 0.319 0.644
B 0.837 0.879 0.169
O 0.066 0.861 0.299
O 0.236 0.304 0.947
O 0.241 0.477 0.258
O 0.268 0.725 0.504
O 0.274 0.907 0.819
O 0.726 0.093 0.181
O 0.732 0.275 0.496
O 0.759 0.523 0.742
O 0.764 0.696 0.053
O 0.934 0.139 0.701

***

Entry 3:
The following is a simulated XRD peak list of NbCr3Cu2S8. It was derived from a crystal structure in the Materials Project, relaxed with GGA-PBE, using copper Kα.

Most intense lines, 15° ≤ 2θ ≤ 90°, by angle:
- 2θ = 15.5°, intensity 39
- 2θ = 16.9°, intensity 45
- 2θ = 30.0°, intensity 51
- 2θ = 33.9°, intensity 66
- 2θ = 34.2°, intensity 30
- 2θ = 43.8°, intensity 100
- 2θ = 44.1°, intensity 65
- 2θ = 44.3°, intensity 36
- 2θ = 53.2°, intensity 31
- 2θ = 53.4°, intensity 51

Structural model:
Cell: 5.940 3.446 11.406 Å, 90.00 90.68 90.00°
Fractional coordinates of all 14 atoms:
Nb 0.000 0.000 0.000
Cr 0.418 0.500 0.012
Cr 0.479 0.500 0.494
Cr 0.940 0.000 0.515
Cu 0.466 0.500 0.749
Cu 0.960 0.000 0.257
S 0.118 0.500 0.396
S 0.130 0.500 0.865
S 0.302 0.000 0.611
S 0.303 0.000 0.142
S 0.605 0.000 0.898
S 0.631 0.000 0.380
S 0.782 0.500 0.119
S 0.792 0.500 0.631

***

Entry 4:
The following is a simulated XRD peak list of HoFe6Ge6. It was derived from a crystal structure in the Materials Project, relaxed with GGA-PBE, using copper Kα.

Most intense lines, 15° ≤ 2θ ≤ 90°, by angle:
- 2θ = 35.1°, intensity 72
- 2θ = 37.9°, intensity 15
- 2θ = 40.8°, intensity 51
- 2θ = 41.8°, intensity 100
- 2θ = 44.6°, intensity 24
- 2θ = 46.8°, intensity 39
- 2θ = 49.3°, intensity 21
- 2θ = 67.6°, intensity 23
- 2θ = 74.3°, intensity 19
- 2θ = 80.2°, intensity 26

Structural model:
Cell: 9.734 9.734 5.110 Å, 90.00 90.00 130.64°
Fractional coordinates of all 26 atoms:
Ho 0.126 0.874 0.750
Ho 0.874 0.126 0.250
Fe 0.000 0.500 0.000
Fe 0.000 0.500 0.500
Fe 0.126 0.375 0.750
Fe 0.250 0.250 0.000
Fe 0.250 0.250 0.500
Fe 0.375 0.126 0.250
Fe 0.500 0.000 0.000
Fe 0.500 0.000 0.500
Fe 0.625 0.874 0.750
Fe 0.750 0.750 0.000
Fe 0.750 0.750 0.500
Fe 0.874 0.625 0.250
Ge 0.042 0.958 0.250
Ge 0.211 0.789 0.250
Ge 0.222 0.471 0.250
Ge 0.295 0.705 0.750
Ge 0.458 0.542 0.750
Ge 0.471 0.222 0.750
Ge 0.529 0.778 0.250
Ge 0.542 0.458 0.250
Ge 0.705 0.295 0.250
Ge 0.778 0.529 0.750
Ge 0.789 0.211 0.750
Ge 0.958 0.042 0.750

***

Entry 5:
The following is a simulated XRD peak list of Ho2Co12Ni5. It was derived from a crystal structure in the Materials Project, relaxed with GGA-PBE, using copper Kα.

Most intense lines, 15° ≤ 2θ ≤ 90°, by angle:
- 2θ = 31.0°, intensity 42
- 2θ = 37.6°, intensity 42
- 2θ = 42.1°, intensity 47
- 2θ = 43.7°, intensity 70
- 2θ = 44.1°, intensity 100
- 2θ = 45.2°, intensity 33
- 2θ = 49.5°, intensity 20
- 2θ = 63.8°, intensity 19
- 2θ = 80.2°, intensity 19
- 2θ = 82.7°, intensity 19

Structural model:
Cell: 8.293 8.293 8.018 Å, 90.00 90.00 120.00°
Fractional coordinates of all 38 atoms:
Ho 0.000 0.000 0.250
Ho 0.000 0.000 0.750
Ho 0.333 0.667 0.250
Ho 0.667 0.333 0.750
Co 0.050 0.377 0.750
Co 0.050 0.673 0.750
Co 0.162 0.324 0.024
Co 0.162 0.324 0.476
Co 0.162 0.838 0.024
Co 0.162 0.838 0.476
Co 0.324 0.162 0.524
Co 0.324 0.162 0.976
Co 0.327 0.377 0.750
Co 0.327 0.950 0.750
Co 0.377 0.050 0.250
Co 0.377 0.327 0.250
Co 0.623 0.673 0.750
Co 0.623 0.950 0.750
Co 0.673 0.050 0.250
Co 0.673 0.623 0.250
Co 0.676 0.838 0.024
Co 0.676 0.838 0.476
Co 0.838 0.162 0.524
Co 0.838 0.162 0.976
Co 0.838 0.676 0.524
Co 0.838 0.676 0.976
Co 0.950 0.327 0.250
Co 0.950 0.623 0.250
Ni 0.000 0.500 0.000
Ni 0.000 0.500 0.500
Ni 0.333 0.667 0.599
Ni 0.333 0.667 0.901
Ni 0.500 0.000 0.000
Ni 0.500 0.000 0.500
Ni 0.500 0.500 0.000
Ni 0.500 0.500 0.500
Ni 0.667 0.333 0.099
Ni 0.667 0.333 0.401

***

Entry 6:
The following is a simulated XRD peak list of KGaGe3O8. It was derived from a crystal structure in the Materials Project, relaxed with GGA-PBE, using copper Kα.

Most intense lines, 15° ≤ 2θ ≤ 90°, by angle:
- 2θ = 20.0°, intensity 66
- 2θ = 22.0°, intensity 29
- 2θ = 22.5°, intensity 28
- 2θ = 25.2°, intensity 32
- 2θ = 25.7°, intensity 85
- 2θ = 25.9°, intensity 100
- 2θ = 28.2°, intensity 23
- 2θ = 29.1°, intensity 22
- 2θ = 32.4°, intensity 30
- 2θ = 47.5°, intensity 35

Structural model:
Cell: 7.648 8.121 8.344 Å, 113.49 104.41 103.08°
Fractional coordinates of all 26 atoms:
K 0.137 0.277 0.274
K 0.863 0.723 0.726
Ga 0.221 0.818 0.191
Ga 0.779 0.182 0.809
Ge 0.223 0.189 0.823
Ge 0.342 0.589 0.825
Ge 0.350 0.820 0.585
Ge 0.650 0.180 0.415
Ge 0.658 0.411 0.175
Ge 0.777 0.811 0.177
O 0.009 0.139 0.864
O 0.202 0.669 0.949
O 0.210 0.956 0.674
O 0.257 0.701 0.338
O 0.266 0.331 0.712
O 0.284 0.613 0.619
O 0.399 0.065 0.303
O 0.402 0.306 0.057
O 0.598 0.694 0.943
O 0.601 0.935 0.697
O 0.716 0.387 0.381
O 0.734 0.669 0.288
O 0.743 0.299 0.662
O 0.790 0.044 0.326
O 0.798 0.331 0.051
O 0.991 0.861 0.136

***

Entry 7:
The following is a simulated XRD peak list of BaY2Te4. It was derived from a crystal structure in the Materials Project, relaxed with GGA-PBE, using copper Kα.

Most intense lines, 15° ≤ 2θ ≤ 90°, by angle:
- 2θ = 25.7°, intensity 54
- 2θ = 26.5°, intensity 100
- 2θ = 28.0°, intensity 77
- 2θ = 28.3°, intensity 75
- 2θ = 32.3°, intensity 53
- 2θ = 33.1°, intensity 34
- 2θ = 35.4°, intensity 37
- 2θ = 40.1°, intensity 53
- 2θ = 40.9°, intensity 36
- 2θ = 49.7°, intensity 31

Structural model:
Cell: 13.830 4.493 16.332 Å, 90.00 90.00 90.00°
Fractional coordinates of all 28 atoms:
Ba 0.239 0.250 0.170
Ba 0.261 0.750 0.670
Ba 0.739 0.250 0.330
Ba 0.761 0.750 0.830
Y 0.059 0.250 0.390
Y 0.081 0.250 0.904
Y 0.419 0.750 0.404
Y 0.441 0.750 0.890
Y 0.559 0.250 0.110
Y 0.581 0.250 0.596
Y 0.919 0.750 0.096
Y 0.941 0.750 0.610
Te 0.028 0.750 0.784
Te 0.090 0.250 0.576
Te 0.127 0.750 0.029
Te 0.205 0.750 0.339
Te 0.295 0.250 0.839
Te 0.373 0.250 0.529
Te 0.410 0.750 0.076
Te 0.472 0.250 0.284
Te 0.528 0.750 0.716
Te 0.590 0.250 0.924
Te 0.627 0.750 0.471
Te 0.705 0.750 0.161
Te 0.795 0.250 0.661
Te 0.873 0.250 0.971
Te 0.910 0.750 0.424
Te 0.972 0.250 0.216

***

Entry 8:
The following is a simulated XRD peak list of CsP7. It was derived from a crystal structure in the Materials Project, relaxed with GGA-PBE, using copper Kα.

Most intense lines, 15° ≤ 2θ ≤ 90°, by angle:
- 2θ = 17.9°, intensity 66
- 2θ = 18.5°, intensity 33
- 2θ = 22.3°, intensity 100
- 2θ = 25.6°, intensity 30
- 2θ = 27.6°, intensity 21
- 2θ = 28.6°, intensity 31
- 2θ = 29.3°, intensity 44
- 2θ = 31.8°, intensity 46
- 2θ = 32.9°, intensity 24
- 2θ = 39.1°, intensity 34

Structural model:
Cell: 9.909 9.598 9.773 Å, 90.00 90.00 90.00°
Fractional coordinates of all 32 atoms:
Cs 0.247 0.215 0.000
Cs 0.253 0.215 0.500
Cs 0.747 0.785 0.000
Cs 0.753 0.785 0.500
P 0.034 0.748 0.244
P 0.134 0.833 0.628
P 0.134 0.834 0.858
P 0.164 0.569 0.245
P 0.181 0.613 0.903
P 0.182 0.612 0.585
P 0.184 0.909 0.243
P 0.316 0.909 0.743
P 0.318 0.612 0.085
P 0.319 0.613 0.403
P 0.336 0.569 0.745
P 0.366 0.833 0.128
P 0.366 0.834 0.358
P 0.466 0.748 0.744
P 0.534 0.252 0.244
P 0.634 0.166 0.858
P 0.634 0.167 0.628
P 0.664 0.431 0.245
P 0.681 0.387 0.903
P 0.682 0.388 0.585
P 0.684 0.091 0.243
P 0.816 0.091 0.743
P 0.818 0.388 0.085
P 0.819 0.387 0.403
P 0.836 0.431 0.745
P 0.866 0.166 0.358
P 0.866 0.167 0.128
P 0.966 0.252 0.744

***

Repeat the fourth record exactly.
The following is a simulated XRD peak list of HoFe6Ge6. It was derived from a crystal structure in the Materials Project, relaxed with GGA-PBE, using copper Kα.

Most intense lines, 15° ≤ 2θ ≤ 90°, by angle:
- 2θ = 35.1°, intensity 72
- 2θ = 37.9°, intensity 15
- 2θ = 40.8°, intensity 51
- 2θ = 41.8°, intensity 100
- 2θ = 44.6°, intensity 24
- 2θ = 46.8°, intensity 39
- 2θ = 49.3°, intensity 21
- 2θ = 67.6°, intensity 23
- 2θ = 74.3°, intensity 19
- 2θ = 80.2°, intensity 26

Structural model:
Cell: 9.734 9.734 5.110 Å, 90.00 90.00 130.64°
Fractional coordinates of all 26 atoms:
Ho 0.126 0.874 0.750
Ho 0.874 0.126 0.250
Fe 0.000 0.500 0.000
Fe 0.000 0.500 0.500
Fe 0.126 0.375 0.750
Fe 0.250 0.250 0.000
Fe 0.250 0.250 0.500
Fe 0.375 0.126 0.250
Fe 0.500 0.000 0.000
Fe 0.500 0.000 0.500
Fe 0.625 0.874 0.750
Fe 0.750 0.750 0.000
Fe 0.750 0.750 0.500
Fe 0.874 0.625 0.250
Ge 0.042 0.958 0.250
Ge 0.211 0.789 0.250
Ge 0.222 0.471 0.250
Ge 0.295 0.705 0.750
Ge 0.458 0.542 0.750
Ge 0.471 0.222 0.750
Ge 0.529 0.778 0.250
Ge 0.542 0.458 0.250
Ge 0.705 0.295 0.250
Ge 0.778 0.529 0.750
Ge 0.789 0.211 0.750
Ge 0.958 0.042 0.750